Diffraction record for NdSm4Er3. The powder diffraction line list is calculated, not measured: it uses a crystal structure in Alexandria, relaxed with GGA-PBE and Cu Kα X-rays.
Neutral-atom scattering factors, no anomalous dispersion.

Structure:
```
NdSm4Er3
1.0
11.4773 0.0000 0.0000
0.0000 7.3110 0.0000
0.0000 0.0000 6.3118
Nd Sm Er
2 8 6
direct
0.0000 0.1246 0.0000
0.5000 0.8754 0.5000
0.0000 0.3727 0.5031
0.0000 0.6278 0.9967
0.2468 0.6259 0.3338
0.2532 0.3741 0.8338
0.5000 0.3722 0.4967
0.5000 0.6273 0.0031
0.7468 0.3741 0.8338
0.7532 0.6259 0.3338
0.0000 0.8775 0.5001
0.2499 0.1227 0.3331
0.2501 0.8773 0.8331
0.5000 0.1225 0.0001
0.7501 0.1227 0.3331
0.7499 0.8773 0.8331
```

Peak list (8 most intense, 10 to 90 degrees two-theta, low angle first)
2θ (°), I_rel, (hkl)
28.23, 24, 0 0 2
31.17, 24, 4 0 0
32.34, 100, 2 2 1
42.55, 16, 4 0 2
50.02, 13, 0 2 3
56.21, 21, 6 2 1
60.12, 15, 4 2 3
60.74, 11, 2 4 2